# ErPa2Te5
Simulated XRD peak list, a wavelength of 1.5418 Å. Input: a GGA-PBE-relaxed structure.
Neutral-atom scattering factors, no anomalous dispersion.

Crystal structure
```
data_ErPa2Te5
_symmetry_space_group_name_H-M 'P 4/m m m'
_symmetry_Int_Tables_number 123
_symmetry_space_group_name_Hall '-P 4 2'
_cell_length_a 7.454
_cell_length_b 7.454
_cell_length_c 5.200
_cell_angle_alpha 90.00
_cell_angle_beta 90.00
_cell_angle_gamma 90.00
loop_
_atom_site_label
_atom_site_type_symbol
_atom_site_fract_x
_atom_site_fract_y
_atom_site_fract_z
Er1 Er 0.000 0.000 0.000
Pa1 Pa 0.000 0.500 0.500
Te1 Te 0.000 0.000 0.500
Te2 Te 0.278 0.278 0.000
```

Principal peaks in the range 10 to 90 degrees two-theta, low angle first:
(1 0 0), d = 7.454 Å, 11.9°, I 22
(1 1 1), d = 3.702 Å, 24.0°, I 55
(2 1 0), d = 3.333 Å, 26.7°, I 23
(2 0 1), d = 3.029 Å, 29.5°, I 100
(2 2 0), d = 2.635 Å, 34.0°, I 62
(0 0 2), d = 2.600 Å, 34.5°, I 33
(3 1 1), d = 2.147 Å, 42.1°, I 20
(4 0 0), d = 1.863 Å, 48.9°, I 20
(2 2 2), d = 1.851 Å, 49.2°, I 44
(4 2 1), d = 1.587 Å, 58.1°, I 23
(2 0 3), d = 1.572 Å, 58.7°, I 14
(4 0 2), d = 1.515 Å, 61.2°, I 21